# 1
Starting from the PBE geometry in Alexandria, the X-ray diffraction stick pattern of Sm2RuC2 was computed for CuKα.
Peak positions follow from Bragg's law for the DFT cell and can differ from measured ones.

Peak list (8 most intense, 15° ≤ 2θ ≤ 90°, sorted by position)
- 31.71°, I 77.9
- 32.26°, I 25.6
- 32.77°, I 43.0
- 33.51°, I 100.0
- 33.93°, I 76.4
- 34.64°, I 47.7
- 38.56°, I 28.8
- 47.90°, I 29.1

Structural model:
abc: 6.523 5.283 10.012
angles: 90.00 90.00 90.00
Atoms (fractional coordinates):
Sm: 0.021 0.250 0.217
Sm: 0.187 0.250 0.551
Sm: 0.313 0.750 0.051
Sm: 0.479 0.750 0.717
Sm: 0.521 0.250 0.283
Sm: 0.687 0.250 0.949
Sm: 0.813 0.750 0.449
Sm: 0.979 0.750 0.783
Ru: 0.227 0.250 0.861
Ru: 0.273 0.750 0.361
Ru: 0.727 0.250 0.639
Ru: 0.773 0.750 0.139
C: 0.035 0.750 0.244
C: 0.181 0.750 0.546
C: 0.319 0.250 0.046
C: 0.465 0.250 0.744
C: 0.535 0.750 0.256
C: 0.681 0.750 0.954
C: 0.819 0.250 0.454
C: 0.965 0.250 0.756

# 2
Starting from the PBE geometry in Alexandria, the X-ray diffraction stick pattern of Ac3Rh2S was computed for CuKα.
Peak positions follow from Bragg's law for the DFT cell and can differ from measured ones.

Peak list (8 most intense, 15° ≤ 2θ ≤ 90°, sorted by position)
- 25.26°, I 58.9
- 29.19°, I 100.0
- 29.38°, I 47.7
- 41.75°, I 38.3
- 41.89°, I 73.5
- 51.87°, I 39.7
- 68.64°, I 35.1
- 76.32°, I 25.7

Structural model:
abc: 4.327 4.327 18.241
angles: 90.00 90.00 90.00
Atoms (fractional coordinates):
Ac: 0.000 0.000 0.000
Ac: 0.000 0.000 0.331
Ac: 0.000 0.000 0.669
Ac: 0.500 0.500 0.169
Ac: 0.500 0.500 0.500
Ac: 0.500 0.500 0.831
Rh: 0.000 0.000 0.158
Rh: 0.000 0.000 0.842
Rh: 0.500 0.500 0.342
Rh: 0.500 0.500 0.658
S: 0.000 0.000 0.500
S: 0.500 0.500 0.000

# 3
Starting from the PBE geometry in Alexandria, the X-ray diffraction stick pattern of NaBePdF6 was computed for CuKα.
Peak positions follow from Bragg's law for the DFT cell and can differ from measured ones.

Peak list (8 most intense, 15° ≤ 2θ ≤ 90°, sorted by position)
- 18.00°, I 79.4
- 22.13°, I 100.0
- 27.17°, I 81.8
- 34.06°, I 54.9
- 39.93°, I 53.4
- 42.08°, I 39.7
- 51.69°, I 62.0
- 56.09°, I 30.1

Structural model:
abc: 5.080 5.080 9.855
angles: 90.00 90.00 120.00
Atoms (fractional coordinates):
Na: 0.000 0.000 0.000
Na: 0.000 0.000 0.500
Be: 0.333 0.667 0.250
Be: 0.667 0.333 0.750
Pd: 0.333 0.667 0.750
Pd: 0.667 0.333 0.250
F: 0.042 0.384 0.146
F: 0.042 0.658 0.354
F: 0.342 0.384 0.354
F: 0.342 0.958 0.146
F: 0.384 0.042 0.646
F: 0.384 0.342 0.854
F: 0.616 0.658 0.146
F: 0.616 0.958 0.354
F: 0.658 0.042 0.854
F: 0.658 0.616 0.646
F: 0.958 0.342 0.646
F: 0.958 0.616 0.854

# 4
Starting from the PBE geometry in Alexandria, the X-ray diffraction stick pattern of LiPr4Rh was computed for CuKα.
Peak positions follow from Bragg's law for the DFT cell and can differ from measured ones.

Peak list (8 most intense, 15° ≤ 2θ ≤ 90°, sorted by position)
- 25.92°, I 70.6
- 27.24°, I 35.9
- 29.52°, I 34.8
- 30.06°, I 64.1
- 31.86°, I 21.4
- 32.19°, I 100.0
- 43.06°, I 34.0
- 46.14°, I 35.4

Structural model:
abc: 9.209 9.209 6.750
angles: 101.01 101.01 132.40
Atoms (fractional coordinates):
Li: 0.076 0.924 0.750
Li: 0.924 0.076 0.250
Pr: 0.067 0.489 0.274
Pr: 0.209 0.355 0.790
Pr: 0.355 0.209 0.290
Pr: 0.489 0.067 0.774
Pr: 0.511 0.933 0.226
Pr: 0.645 0.791 0.710
Pr: 0.791 0.645 0.210
Pr: 0.933 0.511 0.726
Rh: 0.430 0.570 0.250
Rh: 0.570 0.430 0.750

# 5
Starting from the PBE geometry in Alexandria, the X-ray diffraction stick pattern of Rb4Pa3NbO12 was computed for CuKα.
Peak positions follow from Bragg's law for the DFT cell and can differ from measured ones.

Peak list (8 most intense, 15° ≤ 2θ ≤ 90°, sorted by position)
- 20.49°, I 25.9
- 29.14°, I 100.0
- 41.68°, I 29.6
- 46.87°, I 12.1
- 51.66°, I 42.0
- 60.41°, I 19.0
- 68.45°, I 18.6
- 83.45°, I 22.3

Structural model:
abc: 7.507 7.507 7.507
angles: 109.47 109.47 109.47
Atoms (fractional coordinates):
Rb: 0.000 0.000 0.500
Rb: 0.000 0.500 0.000
Rb: 0.500 0.000 0.000
Rb: 0.500 0.500 0.500
Pa: 0.000 0.500 0.500
Pa: 0.500 0.000 0.500
Pa: 0.500 0.500 0.000
Nb: 0.000 0.000 0.000
O: 0.000 0.239 0.239
O: 0.000 0.761 0.761
O: 0.239 0.000 0.239
O: 0.239 0.239 0.000
O: 0.250 0.500 0.750
O: 0.250 0.750 0.500
O: 0.500 0.250 0.750
O: 0.500 0.750 0.250
O: 0.750 0.250 0.500
O: 0.750 0.500 0.250
O: 0.761 0.000 0.761
O: 0.761 0.761 0.000

# 6
Starting from the PBE geometry in Alexandria, the X-ray diffraction stick pattern of Na2CdHg7 was computed for CuKα.
Peak positions follow from Bragg's law for the DFT cell and can differ from measured ones.

Peak list (8 most intense, 15° ≤ 2θ ≤ 90°, sorted by position)
- 21.46°, I 34.1
- 29.42°, I 52.0
- 35.02°, I 90.4
- 35.48°, I 100.0
- 50.71°, I 32.0
- 55.03°, I 17.1
- 63.41°, I 32.9
- 63.70°, I 18.5

Structural model:
abc: 5.061 5.061 12.632
angles: 90.00 90.00 120.00
Atoms (fractional coordinates):
Na: 0.000 0.000 0.000
Na: 0.333 0.667 0.673
Cd: 0.667 0.333 0.308
Hg: 0.000 0.000 0.240
Hg: 0.000 0.000 0.505
Hg: 0.000 0.000 0.760
Hg: 0.333 0.667 0.123
Hg: 0.333 0.667 0.404
Hg: 0.667 0.333 0.586
Hg: 0.667 0.333 0.860

# 7
Starting from the PBE geometry in Alexandria, the X-ray diffraction stick pattern of Ta4Ti2Mo was computed for CuKα.
Peak positions follow from Bragg's law for the DFT cell and can differ from measured ones.

Peak list (8 most intense, 15° ≤ 2θ ≤ 90°, sorted by position)
- 36.83°, I 46.3
- 37.59°, I 95.8
- 38.49°, I 97.6
- 38.70°, I 45.5
- 38.82°, I 100.0
- 39.32°, I 97.7
- 39.75°, I 44.7
- 43.62°, I 38.7

Structural model:
abc: 2.863 7.138 7.155
angles: 117.39 95.50 101.53
Atoms (fractional coordinates):
Ta: 0.018 0.277 0.414
Ta: 0.268 0.849 0.276
Ta: 0.732 0.151 0.724
Ta: 0.982 0.723 0.586
Ti: 0.477 0.577 0.853
Ti: 0.523 0.423 0.147
Mo: 0.000 0.000 0.000

# 8
Starting from the PBE geometry in Alexandria, the X-ray diffraction stick pattern of BaPrHfS4 was computed for CuKα.
Peak positions follow from Bragg's law for the DFT cell and can differ from measured ones.

Peak list (8 most intense, 15° ≤ 2θ ≤ 90°, sorted by position)
- 25.43°, I 100.0
- 25.57°, I 44.9
- 25.95°, I 43.3
- 34.99°, I 39.2
- 36.75°, I 58.0
- 44.98°, I 22.5
- 45.45°, I 21.9
- 52.23°, I 19.5

Structural model:
abc: 8.274 8.274 6.969
angles: 90.00 90.00 130.95
Atoms (fractional coordinates):
Ba: 0.105 0.895 0.750
Ba: 0.895 0.105 0.250
Pr: 0.379 0.621 0.750
Pr: 0.621 0.379 0.250
Hf: 0.259 0.741 0.250
Hf: 0.741 0.259 0.750
S: 0.000 0.500 0.000
S: 0.000 0.500 0.500
S: 0.090 0.910 0.250
S: 0.432 0.568 0.250
S: 0.500 0.000 0.000
S: 0.500 0.000 0.500
S: 0.568 0.432 0.750
S: 0.910 0.090 0.750

# 9
Starting from the PBE geometry in Alexandria, the X-ray diffraction stick pattern of Pm5CdPt3 was computed for CuKα.
Peak positions follow from Bragg's law for the DFT cell and can differ from measured ones.

Peak list (8 most intense, 15° ≤ 2θ ≤ 90°, sorted by position)
- 25.50°, I 14.7
- 32.84°, I 100.0
- 33.89°, I 27.6
- 35.62°, I 79.0
- 45.14°, I 14.0
- 49.23°, I 25.2
- 62.23°, I 21.9
- 64.97°, I 27.5

Structural model:
abc: 8.730 8.730 6.985
angles: 90.00 90.00 120.00
Atoms (fractional coordinates):
Pm: 0.000 0.297 0.250
Pm: 0.000 0.703 0.750
Pm: 0.297 0.000 0.250
Pm: 0.297 0.297 0.750
Pm: 0.333 0.667 0.000
Pm: 0.333 0.667 0.500
Pm: 0.667 0.333 0.000
Pm: 0.667 0.333 0.500
Pm: 0.703 0.000 0.750
Pm: 0.703 0.703 0.250
Cd: 0.000 0.000 0.000
Cd: 0.000 0.000 0.500
Pt: 0.000 0.376 0.750
Pt: 0.000 0.624 0.250
Pt: 0.376 0.000 0.750
Pt: 0.376 0.376 0.250
Pt: 0.624 0.000 0.250
Pt: 0.624 0.624 0.750